Diffraction record for Sr2V4Te2H2O17. The powder X-ray diffraction pattern is simulated, not measured: it uses a cell relaxed with PBE+U and copper Kα.
Kinematic intensities with the Lorentz-polarization factor, no thermal factor.

Crystal structure
```
data_Sr2V4Te2H2O17
_chemical_formula_sum 'Sr8 V16 Te8 H8 O68'
_space_group_name_H-M_alt 'C 1 2/c 1'
_space_group_IT_number 15
_cell_length_a 21.332
_cell_length_b 5.213
_cell_length_c 16.561
_cell_angle_alpha 90.00
_cell_angle_beta 118.66
_cell_angle_gamma 90.00
loop_
_space_group_symop_operation_xyz
'x,y,z'
'-x,-y,-z'
'-x,y,-z+1/2'
'x,-y,z+1/2'
'x+1/2,y+1/2,z'
'-x+1/2,-y+1/2,-z'
'-x+1/2,y+1/2,-z+1/2'
'x+1/2,-y+1/2,z+1/2'
loop_
_atom_site_label
_atom_site_type_symbol
_atom_site_fract_x
_atom_site_fract_y
_atom_site_fract_z
Sr1 Sr 0.018 0.146 0.382
V1 V 0.128 0.373 0.641
V2 V 0.176 0.369 0.990
Te1 Te 0.168 0.079 0.315
H1 H 0.041 0.384 0.768
O1 O 0.000 0.499 0.250
O2 O 0.053 0.220 0.567
O3 O 0.076 0.031 0.781
O4 O 0.104 0.347 0.175
O5 O 0.113 0.163 0.980
O6 O 0.137 0.399 0.409
O7 O 0.184 0.185 0.742
O8 O 0.184 0.441 0.592
O9 O 0.217 0.151 0.928
```

Largest 8 diffraction maxima, by angle, 10 to 80 degrees two-theta:
2theta  intensity  hkl
20.2  100  1 1 -2
21.8  26  3 1 -2
27.2  35  1 1 3
27.9  29  5 1 -3
28.6  90  6 0 0
30.1  72  5 1 -4
34.3  25  6 0 -6
43.7  35  6 2 -1